The following is a calculated X-ray diffraction stick pattern of Be8Nb3Ni. It was derived from a cell relaxed with GGA-PBE, using λ = 1.5418 Å (Cu Kα).
Peak positions follow from Bragg's law for the DFT cell and can differ from measured ones.

Crystal structure
Cell: 4.5195 4.5195 22.1791 Å, 90.00 90.00 120.00°
Space group R3m (No. 160, hexagonal axes)
One atom of each set of equivalent atoms:
Be (0.0000, 0.0000, 0.0000)
Be (0.0000, 0.0000, 0.4999)
Be (0.1676, 0.3352, 0.0834)
Be (0.1699, 0.3398, 0.5850)
Nb (0.0000, 0.0000, 0.1890)
Nb (0.0000, 0.0000, 0.3156)
Nb (0.0000, 0.0000, 0.8081)
Ni (0.0000, 0.0000, 0.6885)

Top 10 peaks for 2θ = 10–90°, most intense first:
two_theta	intensity	h k l
24.10	100	0 1 2
39.87	96	1 1 0
47.13	70	1 0 10
72.38	23	1 2 8
77.58	16	2 1 10
57.66	12	2 0 8
63.44	10	1 2 2
63.36	9	0 2 10
72.44	8	3 0 0
86.05	6	2 2 0